For Dy6ScCd, a structure optimized by DFT (GGA-PBE) gives the simulated XRD peak list in this record (Cu Ka).
Intensities are scaled so that the largest is 100.

Cell lengths 9.0674, 9.0674, 10.0534 Å; angles 90.00, 90.00, 120.00 degrees
Space group R-3 (No. 148, hexagonal axes)
Symmetry-distinct sites (fractional):
Dy (0.0239, 0.7664, 0.2208) (multiplicity 18)
Sc (0.0000, 0.0000, 0.5000) (multiplicity 3)
Cd (0.0000, 0.0000, 0.0000) (multiplicity 3)

Peak list (6 most intense, 15 to 90 degrees two-theta, most intense first)
2.847 Å, intensity 100, hkl 3 -1 1; 2.695 Å, intensity 66, hkl 2 -1 3; 2.556 Å, intensity 62, hkl 1 2 2; 3.094 Å, intensity 24, hkl 2 0 2; 1.773 Å, intensity 19, hkl 5 -2 1; 1.714 Å, intensity 18, hkl 4 1 0